Structure and calculated powder diffractogram of K2FeAs2O6 (the GGA+U geometry in Alexandria; Cu Kα (λ = 1.5418 Å)).
Neutral-atom scattering factors, no anomalous dispersion.

Most intense lines, 2θ = 15–90°, low angle first:
hkl, 2θ (°), Rel. int.
1 1 0, 18.2, 37
2 0 0, 20.2, 46
3 1 -1, 30.5, 100
0 2 0, 30.7, 53
0 0 2, 30.9, 32
1 1 -2, 31.3, 92

abc: 10.1662 5.8291 6.6857
angles: 90.00 120.06 90.00
Space group C2/m (No. 12)
Asymmetric unit:
K 0.2074 0.0000 0.1813
Fe 0.0000 0.0000 0.5000
As 0.0487 0.5000 0.2122
O 0.0328 0.2549 0.7516
O 0.2425 0.5000 0.3621



Structure and calculated powder diffractogram of K3FeAs2O6 (the GGA+U geometry in Alexandria; Cu Kα (λ = 1.5418 Å)).
Neutral-atom scattering factors, no anomalous dispersion.

Most intense lines, 2θ = 15–90°, low angle first:
hkl, 2θ (°), Rel. int.
1 0 1, 22.0, 27
1 1 0, 31.3, 100
2 0 2, 44.9, 32
3 0 0, 55.8, 31
2 2 0, 65.4, 18
3 1 2, 74.3, 11

abc: 5.7045 5.7045 6.9951
angles: 90.00 90.00 120.00
Space group P-3m1 (No. 164)
Asymmetric unit:
K 0.0000 0.0000 0.0000
K 0.3333 0.6667 0.6678
Fe 0.0000 0.0000 0.5000
As 0.3333 0.6667 0.2139
O 0.1690 0.3381 0.3228



Structure and calculated powder diffractogram of La4FeAs4Ru3O4 (the GGA+U geometry in Alexandria; Cu Kα (λ = 1.5418 Å)).
Neutral-atom scattering factors, no anomalous dispersion.

Most intense lines, 2θ = 15–90°, low angle first:
hkl, 2θ (°), Rel. int.
1 0 4, 29.8, 100
1 1 2, 32.3, 28
1 1 4, 37.0, 34
2 0 0, 43.8, 42
1 1 8, 52.4, 39
2 1 4, 53.9, 38

abc: 4.1348 4.1348 17.4107
angles: 90.00 90.00 90.00
Space group P-4m2 (No. 115)
Asymmetric unit:
La 0.0000 0.5000 0.1775
La 0.0000 0.5000 0.6846
Fe 0.0000 0.0000 0.5000
As 0.0000 0.5000 0.4181
As 0.0000 0.5000 0.9252
Ru 0.0000 0.0000 0.0000
Ru 0.5000 0.5000 0.0000
Ru 0.5000 0.5000 0.5000
O 0.0000 0.0000 0.2465
O 0.5000 0.5000 0.2471



Structure and calculated powder diffractogram of La4FeAs4Ru3O4 (the GGA+U geometry in Alexandria; Cu Kα (λ = 1.5418 Å)).
Neutral-atom scattering factors, no anomalous dispersion.

Most intense lines, 2θ = 15–90°, low angle first:
hkl, 2θ (°), Rel. int.
1 1 2, 29.8, 100
2 0 1, 32.4, 28
2 0 2, 37.1, 34
2 2 0, 44.0, 41
2 0 4, 52.2, 40
3 1 2, 54.0, 37

abc: 5.8210 5.8210 8.7775
angles: 90.00 90.00 90.00
Space group P-42m (No. 111)
Asymmetric unit:
La 0.2491 0.2491 0.1376
Fe 0.5000 0.5000 0.5000
As 0.2389 0.2389 0.6581
Ru 0.0000 0.0000 0.5000
Ru 0.0000 0.5000 0.5000
O 0.0000 0.0000 0.0000
O 0.0000 0.5000 0.0000
O 0.5000 0.5000 0.0000



Structure and calculated powder diffractogram of La3YFe4As4O4 (the GGA+U geometry in Alexandria; Cu Kα (λ = 1.5418 Å)).
Neutral-atom scattering factors, no anomalous dispersion.

Most intense lines, 2θ = 15–90°, low angle first:
hkl, 2θ (°), Rel. int.
1 0 2, 29.3, 100
1 2 0, 30.7, 20
1 2 2, 36.7, 24
2 0 0, 43.9, 35
1 2 4, 51.1, 29
1 4 2, 53.7, 36

abc: 4.1231 8.2366 9.0457
angles: 90.00 90.00 90.00
Space group Pmm2 (No. 25)
Asymmetric unit:
La 0.0000 0.0000 0.0000
La 0.5000 0.2532 0.7351
Y 0.0000 0.5000 0.9829
Fe 0.0000 0.2548 0.3625
Fe 0.5000 0.0000 0.3533
Fe 0.5000 0.5000 0.3669
As 0.0000 0.0000 0.5271
As 0.0000 0.5000 0.5439
As 0.5000 0.2541 0.1896
O 0.0000 0.2553 0.8691
O 0.5000 0.0000 0.8643
O 0.5000 0.5000 0.8747



Structure and calculated powder diffractogram of La3YFe4As4O4 (the GGA+U geometry in Alexandria; Cu Kα (λ = 1.5418 Å)).
Neutral-atom scattering factors, no anomalous dispersion.

Most intense lines, 2θ = 15–90°, low angle first:
hkl, 2θ (°), Rel. int.
1 0 4, 29.2, 100
1 1 0, 30.7, 20
1 1 4, 36.6, 25
2 0 0, 44.0, 35
1 1 8, 50.9, 29
2 1 4, 53.7, 38

abc: 4.1180 4.1180 18.2414
angles: 90.00 90.00 90.00
Space group P4mm (No. 99)
Asymmetric unit:
La 0.0000 0.0000 0.0000
La 0.0000 0.0000 0.4954
La 0.5000 0.5000 0.8676
Y 0.5000 0.5000 0.3736
Fe 0.0000 0.5000 0.1880
Fe 0.0000 0.5000 0.6803
As 0.0000 0.0000 0.2750
As 0.0000 0.0000 0.7674
As 0.5000 0.5000 0.0992
As 0.5000 0.5000 0.5924
O 0.0000 0.5000 0.4285
O 0.0000 0.5000 0.9334



Structure and calculated powder diffractogram of LiFeAsO4 (the GGA+U geometry in Alexandria; Cu Kα (λ = 1.5418 Å)).
Neutral-atom scattering factors, no anomalous dispersion.

Most intense lines, 2θ = 15–90°, low angle first:
hkl, 2θ (°), Rel. int.
1 0 1, 19.7, 73
2 1 0, 21.9, 48
0 2 0, 29.0, 54
3 1 1, 34.2, 100
1 2 1, 35.3, 37
3 3 1, 54.7, 25

abc: 10.7384 6.1667 4.9541
angles: 90.00 90.00 90.00
Space group Pnma (No. 62)
Asymmetric unit:
Li 0.0000 0.0000 0.0000
Fe 0.2225 0.2500 0.4858
As 0.0934 0.7500 0.4334
O 0.0527 0.2500 0.7115
O 0.0944 0.7500 0.7785
O 0.1694 0.5330 0.2804